[1]
Starting from DFT lattice parameters and positions (PBE), the powder diffractogram of Tb6GeP3S2 was calculated for Cu Kα (weighted mean of Kα1 and Kα2).

Most intense lines, 5 to 70 degrees two-theta, in order of rising 2θ:
2θ (°), intensity
27.08, 35
27.19, 34
31.43, 100
44.91, 12
45.05, 49
45.18, 12
53.30, 14
53.43, 14
56.08, 13
65.61, 12

Cell and atoms:
Cell lengths 17.541, 4.013, 8.073 Å; angles 90.00, 103.24, 90.00 degrees
Space group C2/m (No. 12)
Asymmetric unit:
Tb (0.000, 0.000, 0.246) (multiplicity 4)
Tb (0.165, 0.500, 0.089) (multiplicity 4)
Tb (0.168, 0.500, 0.579) (multiplicity 4)
Ge (0.000, 0.500, 0.500) (multiplicity 2)
P (0.000, 0.500, 0.000) (multiplicity 2)
P (0.168, 0.000, 0.332) (multiplicity 4)
S (0.169, 0.000, 0.838) (multiplicity 4)

---

[2]
Starting from DFT lattice parameters and positions (PBE), the powder diffractogram of Dy12Ho7Sc was calculated for Cu Kα (weighted mean of Kα1 and Kα2).

Most intense lines, 5 to 70 degrees two-theta, in order of rising 2θ:
2θ (°), intensity
27.60, 20
27.82, 28
30.00, 26
30.62, 100
31.44, 35
33.40, 36
33.59, 33
40.24, 30
40.73, 25
47.25, 20

Cell and atoms:
Cell lengths 19.2378, 19.2378, 6.0558 Å; angles 90.00, 90.00, 120.00 degrees
Space group R-3 (No. 148, hexagonal axes)
Asymmetric unit:
Dy (0.9995, 0.4143, 0.0001) (multiplicity 18)
Dy (0.0978, 0.5483, 0.4678) (multiplicity 18)
Ho (0.0000, 0.0000, 0.0000) (multiplicity 3)
Ho (0.0801, 0.1615, 0.3010) (multiplicity 18)
Sc (0.0000, 0.0000, 0.5000) (multiplicity 3)

---

[3]
Starting from DFT lattice parameters and positions (PBE), the powder diffractogram of KMoBr6 was calculated for Cu Kα (weighted mean of Kα1 and Kα2).

Most intense lines, 5 to 70 degrees two-theta, in order of rising 2θ:
2θ (°), intensity
12.57, 54
14.87, 21
15.40, 52
20.25, 22
22.63, 32
27.73, 40
31.64, 100
32.30, 28
41.18, 20
47.40, 20

Cell and atoms:
Cell lengths 8.786, 9.469, 8.077 Å; angles 90.00, 119.31, 90.00 degrees
Space group C2/m (No. 12)
Asymmetric unit:
K (0.000, 0.000, 0.000) (multiplicity 2)
Mo (0.000, 0.500, 0.500) (multiplicity 2)
Br (0.117, 0.311, 0.753) (multiplicity 8)
Br (0.219, 0.000, 0.505) (multiplicity 4)

---

[4]
Starting from DFT lattice parameters and positions (PBE), the powder diffractogram of Fe2POs was calculated for Cu Kα (weighted mean of Kα1 and Kα2).

Most intense lines, 5 to 70 degrees two-theta, in order of rising 2θ:
2θ (°), intensity
17.78, 38
25.22, 29
31.03, 30
34.62, 25
36.01, 15
43.32, 100
44.47, 53
50.80, 29
51.78, 19
57.56, 15

Cell and atoms:
Cell lengths 3.531, 2.683, 9.977 Å; angles 90.00, 90.00, 90.00 degrees
Space group Amm2 (No. 38)
Asymmetric unit:
Fe (0.000, 0.000, 0.000) (multiplicity 2)
Fe (0.500, 0.000, 0.351) (multiplicity 2)
P (0.000, 0.000, 0.783) (multiplicity 2)
Os (0.500, 0.000, 0.617) (multiplicity 2)

---

[5]
Starting from DFT lattice parameters and positions (PBE), the powder diffractogram of Zn3Tc2 was calculated for Cu Kα (weighted mean of Kα1 and Kα2).

Most intense lines, 5 to 70 degrees two-theta, in order of rising 2θ:
2θ (°), intensity
7.94, 4
15.92, 6
23.98, 1
37.90, 2
39.37, 1
40.23, 100
40.51, 33
46.88, 64
68.26, 20
68.66, 19

Cell and atoms:
Cell lengths 2.7479, 2.7479, 33.4020 Å; angles 90.00, 90.00, 120.00 degrees
Space group R-3m (No. 166, hexagonal axes)
Asymmetric unit:
Zn (0.0000, 0.0000, 0.0000) (multiplicity 3)
Zn (0.0000, 0.0000, 0.2008) (multiplicity 6)
Tc (0.0000, 0.0000, 0.4000) (multiplicity 6)

---

[6]
Starting from DFT lattice parameters and positions (PBE), the powder diffractogram of LiMgPtAu was calculated for Cu Kα (weighted mean of Kα1 and Kα2).

Most intense lines, 5 to 70 degrees two-theta, in order of rising 2θ:
2θ (°), intensity
24.12, 64
30.76, 70
39.46, 100
44.05, 37
49.40, 13
50.85, 36
59.33, 23
64.06, 12
68.32, 20
69.51, 14

Cell and atoms:
Cell lengths 4.111, 4.111, 7.380 Å; angles 90.00, 90.00, 90.00 degrees
Space group I-4m2 (No. 119)
Asymmetric unit:
Li (0.000, 0.000, 0.000) (multiplicity 2)
Mg (0.000, 0.000, 0.500) (multiplicity 2)
Pt (0.000, 0.500, 0.250) (multiplicity 2)
Au (0.000, 0.500, 0.750) (multiplicity 2)

---

[7]
Starting from DFT lattice parameters and positions (PBE), the powder diffractogram of RbNa2Al3Si3O13 was calculated for Cu Kα (weighted mean of Kα1 and Kα2).

Most intense lines, 5 to 70 degrees two-theta, in order of rising 2θ:
2θ (°), intensity
17.92, 42
19.93, 64
20.75, 28
23.85, 20
25.32, 100
26.46, 24
27.62, 44
29.42, 58
37.86, 20
40.16, 21

Cell and atoms:
Cell lengths 5.226, 8.521, 16.302 Å; angles 90.00, 108.66, 90.00 degrees
Space group Pc (No. 7)
Asymmetric unit:
Rb (0.000, 0.018, 0.000) (multiplicity 2)
Na (0.175, 0.356, 0.261) (multiplicity 2)
Na (0.634, 0.289, 0.753) (multiplicity 2)
Al (0.184, 0.056, 0.773) (multiplicity 2)
Al (0.476, 0.372, 0.109) (multiplicity 2)
Al (0.784, 0.439, 0.399) (multiplicity 2)
Si (0.267, 0.353, 0.899) (multiplicity 2)
Si (0.662, 0.142, 0.265) (multiplicity 2)
Si (0.988, 0.425, 0.605) (multiplicity 2)
O (0.038, 0.489, 0.859) (multiplicity 2)
O (0.111, 0.147, 0.667) (multiplicity 2)
O (0.149, 0.187, 0.850) (multiplicity 2)
O (0.306, 0.476, 0.647) (multiplicity 2)
O (0.312, 0.323, 0.001) (multiplicity 2)
O (0.479, 0.200, 0.168) (multiplicity 2)
O (0.529, 0.018, 0.791) (multiplicity 2)
O (0.542, 0.407, 0.878) (multiplicity 2)
O (0.640, 0.279, 0.333) (multiplicity 2)
O (0.810, 0.434, 0.128) (multiplicity 2)
O (0.904, 0.372, 0.505) (multiplicity 2)
O (0.913, 0.276, 0.663) (multiplicity 2)
O (0.978, 0.109, 0.272) (multiplicity 2)

---

[8]
Starting from DFT lattice parameters and positions (PBE), the powder diffractogram of Tl7SiS6 was calculated for Cu Kα (weighted mean of Kα1 and Kα2).

Most intense lines, 5 to 70 degrees two-theta, in order of rising 2θ:
2θ (°), intensity
23.16, 33
25.43, 100
25.59, 28
26.81, 21
28.95, 34
29.77, 50
32.48, 20
34.66, 34
37.39, 21
42.69, 19

Cell and atoms:
Cell lengths 7.683, 13.303, 16.481 Å; angles 90.00, 90.00, 90.00 degrees
Space group Ibam (No. 72)
Asymmetric unit:
Tl (0.000, 0.000, 0.250) (multiplicity 4)
Tl (0.206, 0.299, 0.120) (multiplicity 16)
Tl (0.237, 0.478, 0.500) (multiplicity 8)
Si (0.000, 0.500, 0.250) (multiplicity 4)
S (0.015, 0.176, 0.000) (multiplicity 8)
S (0.162, 0.408, 0.325) (multiplicity 16)

---

[9]
Starting from DFT lattice parameters and positions (PBE), the powder diffractogram of YHo3Er5 was calculated for Cu Kα (weighted mean of Kα1 and Kα2).

Most intense lines, 5 to 70 degrees two-theta, in order of rising 2θ:
2θ (°), intensity
29.45, 37
30.12, 100
31.40, 22
31.62, 16
32.55, 25
32.77, 54
33.98, 14
35.22, 18
38.85, 13
56.90, 11

Cell and atoms:
Cell lengths 16.221, 8.734, 10.935 Å; angles 90.00, 132.17, 90.00 degrees
Space group C2/c (No. 15)
Asymmetric unit:
Y (0.000, 0.170, 0.250) (multiplicity 4)
Ho (0.000, 0.500, 0.000) (multiplicity 4)
Ho (0.217, 0.464, 0.467) (multiplicity 8)
Er (0.000, 0.269, 0.750) (multiplicity 4)
Er (0.096, 0.120, 0.617) (multiplicity 8)
Er (0.182, 0.216, 0.164) (multiplicity 8)

---

[10]
Starting from DFT lattice parameters and positions (PBE), the powder diffractogram of Tb5Pm8Pr was calculated for Cu Kα (weighted mean of Kα1 and Kα2).

Most intense lines, 5 to 70 degrees two-theta, in order of rising 2θ:
2θ (°), intensity
27.35, 55
29.07, 65
29.27, 74
31.37, 24
33.16, 100
34.08, 40
34.62, 49
54.43, 20
55.35, 17
61.57, 21

Cell and atoms:
Cell lengths 9.647, 9.647, 10.393 Å; angles 90.00, 90.00, 90.00 degrees
Space group I-4 (No. 82)
Asymmetric unit:
Tb (0.000, 0.000, 0.000) (multiplicity 2)
Tb (0.109, 0.206, 0.572) (multiplicity 8)
Pm (0.071, 0.325, 0.898) (multiplicity 8)
Pm (0.086, 0.178, 0.247) (multiplicity 8)
Pr (0.000, 0.500, 0.250) (multiplicity 2)

---

[11]
Starting from DFT lattice parameters and positions (PBE), the powder diffractogram of Ho4ZrN4 was calculated for Cu Kα (weighted mean of Kα1 and Kα2).

Most intense lines, 5 to 70 degrees two-theta, in order of rising 2θ:
2θ (°), intensity
16.48, 5
23.38, 2
32.04, 100
36.75, 23
37.37, 42
53.42, 30
53.89, 14
63.25, 15
64.08, 26
67.01, 15

Cell and atoms:
Cell lengths 7.609, 7.609, 4.891 Å; angles 90.00, 90.00, 90.00 degrees
Space group I4/m (No. 87)
Asymmetric unit:
Ho (0.108, 0.309, 0.000) (multiplicity 8)
Zr (0.000, 0.000, 0.500) (multiplicity 2)
N (0.094, 0.289, 0.500) (multiplicity 8)

---

[12]
Starting from DFT lattice parameters and positions (PBE), the powder diffractogram of Cs2TlHg2I7 was calculated for Cu Kα (weighted mean of Kα1 and Kα2).

Most intense lines, 5 to 70 degrees two-theta, in order of rising 2θ:
2θ (°), intensity
5.80, 63
20.74, 66
27.26, 61
29.31, 28
29.53, 100
30.25, 19
42.09, 42
42.25, 38
51.01, 21
52.25, 22

Cell and atoms:
Cell lengths 8.555, 8.557, 15.824 Å; angles 90.00, 105.68, 90.00 degrees
Space group C2/m (No. 12)
Asymmetric unit:
Cs (0.173, 0.000, 0.347) (multiplicity 4)
Tl (0.000, 0.000, 0.000) (multiplicity 2)
Hg (0.101, 0.500, 0.203) (multiplicity 4)
I (0.000, 0.500, 0.000) (multiplicity 2)
I (0.164, 0.250, 0.826) (multiplicity 8)
I (0.198, 0.500, 0.395) (multiplicity 4)

---

Copy entry 6 word for word.
Starting from DFT lattice parameters and positions (PBE), the powder diffractogram of LiMgPtAu was calculated for Cu Kα (weighted mean of Kα1 and Kα2).

Most intense lines, 5 to 70 degrees two-theta, in order of rising 2θ:
2θ (°), intensity
24.12, 64
30.76, 70
39.46, 100
44.05, 37
49.40, 13
50.85, 36
59.33, 23
64.06, 12
68.32, 20
69.51, 14

Cell and atoms:
Cell lengths 4.111, 4.111, 7.380 Å; angles 90.00, 90.00, 90.00 degrees
Space group I-4m2 (No. 119)
Asymmetric unit:
Li (0.000, 0.000, 0.000) (multiplicity 2)
Mg (0.000, 0.000, 0.500) (multiplicity 2)
Pt (0.000, 0.500, 0.250) (multiplicity 2)
Au (0.000, 0.500, 0.750) (multiplicity 2)